Record 1
Computed PXRD pattern of ZrSn for Cu Kα, 1.54184 Å, from a DFT-relaxed cell (GGA-PBE, the Materials Project).
Kinematic intensities with the Lorentz-polarization factor, no thermal factor.

Atomic structure:
Unit cell a=5.4569 b=15.5955 c=5.5217 alpha=90.00 beta=90.00 gamma=90.00
Space group Amm2 (No. 38)
Inequivalent atoms, fractional coordinates:
Zr 0.0000 0.0000 0.0000 x2
Zr 0.0000 0.1946 0.0766 x4
Zr 0.5000 0.1928 0.6191 x4
Sn 0.0000 0.1105 0.5493 x4
Sn 0.5000 0.0000 0.6453 x2
Sn 0.5000 0.1088 0.1244 x4

Largest 10 diffraction maxima, by intensity, 5° ≤ 2θ ≤ 70°:
index	2θ/deg	I_rel
1 5 1	36.97	100
2 0 0	32.82	39
0 0 2	32.43	30
3 5 1	61.34	23
2 0 2	46.81	22
1 5 3	60.85	13
1 0 2	36.47	12
2 10 0	69.41	7
2 5 3	68.45	7
0 5 3	58.20	6

---

Record 2
Computed PXRD pattern of SmTiCo11 for Cu Kα, 1.54184 Å, from a DFT-relaxed cell (GGA-PBE, the Materials Project).
Kinematic intensities with the Lorentz-polarization factor, no thermal factor.

Atomic structure:
Unit cell a=4.6803 b=8.3894 c=8.3324 alpha=90.00 beta=90.00 gamma=90.00
Space group Imm2 (No. 44)
Inequivalent atoms, fractional coordinates:
Sm 0.0000 0.0000 0.0000 x2
Ti 0.0000 0.0000 0.3764 x2
Co 0.0000 0.0000 0.6526 x2
Co 0.0000 0.2771 0.5085 x4
Co 0.0000 0.3598 0.0087 x4
Co 0.0000 0.5000 0.2770 x2
Co 0.0000 0.5000 0.7301 x2
Co 0.2478 0.2465 0.7552 x8

Largest 10 diffraction maxima, by intensity, 5° ≤ 2θ ≤ 70°:
index	2θ/deg	I_rel
0 0 4	43.48	100
2 0 2	44.36	84
1 2 3	43.61	54
1 2 1	30.60	44
0 4 0	43.13	34
2 2 2	49.69	33
1 3 0	37.46	25
1 0 3	37.66	24
2 0 0	38.47	19
0 4 4	62.90	13

---

> Which formula does entry 2 have?

SmTiCo11